Pr4IBr2NCl2: theoretical XRD peak list (Cu Kα X-rays), based on a GGA-PBE-relaxed structure.
Neutral-atom scattering factors, no anomalous dispersion.

Most intense lines, 2θ = 10–80°, most intense first:
Position (°2θ)	d [Å]	I (rel.)
30.49	2.932	100
10.38	8.520	48
10.04	8.807	36
38.36	2.347	21
43.69	2.072	19
43.59	2.076	18

```
data_Pr4IBr2NCl2
_space_group_name_H-M_alt 'P 1'
_space_group_IT_number 1
_space_group_name_Hall 'P 1'
_cell_length_a 9.2944
_cell_length_b 9.2944
_cell_length_c 8.7883
_cell_angle_alpha 103.86
_cell_angle_beta 103.86
_cell_angle_gamma 24.43
loop_
_atom_site_label
_atom_site_type_symbol
_atom_site_fract_x
_atom_site_fract_y
_atom_site_fract_z
Pr1 Pr 0.0000 0.0000 0.1943
Pr2 Pr 0.0000 0.0000 0.8057
Pr3 Pr 0.3599 0.3599 0.9251
Pr4 Pr 0.6401 0.6401 0.0749
I1 I 0.5000 0.5000 0.5000
Br1 Br 0.1715 0.1715 0.8360
Br2 Br 0.8285 0.8285 0.1640
N1 N 0.5000 0.5000 0.0000
Cl1 Cl 0.1609 0.1609 0.3167
Cl2 Cl 0.8391 0.8391 0.6833
```